Record 1
Simulated powder XRD pattern of Nd2GeSe4 for Cu Kα, 1.54184 Å, from a DFT-relaxed cell (PBE, Alexandria).

The 10 most intense peaks (10 to 90 degrees two-theta), in order of falling intensity:
d/Å, I (rel.)
3.111, 100
2.514, 70
2.645, 70
1.955, 51
5.028, 40
1.778, 24
1.475, 22
1.842, 18
1.486, 17
1.315, 14

Crystal structure
abc: 7.111 7.111 7.919
angles: 90.00 90.00 90.00
Sites, in units of the cell vectors:
Nd (0.000, 0.500, 0.250)
Nd (0.000, 0.500, 0.750)
Nd (0.500, 0.000, 0.250)
Nd (0.500, 0.000, 0.750)
Ge (0.000, 0.000, 0.000)
Ge (0.500, 0.500, 0.500)
Se (0.239, 0.239, 0.560)
Se (0.239, 0.761, 0.440)
Se (0.261, 0.261, 0.060)
Se (0.261, 0.739, 0.940)
Se (0.739, 0.261, 0.940)
Se (0.739, 0.739, 0.060)
Se (0.761, 0.239, 0.440)
Se (0.761, 0.761, 0.560)

---

Record 2
Simulated powder XRD pattern of Mg5MnPt6 for Cu Kα, 1.54184 Å, from a DFT-relaxed cell (PBE, Alexandria).

The 10 most intense peaks (10 to 90 degrees two-theta), in order of falling intensity:
d/Å, I (rel.)
2.279, 100
2.983, 54
3.531, 42
2.113, 20
2.106, 20
1.519, 15
1.249, 15
1.246, 15
1.813, 13
1.491, 13

Crystal structure
abc: 7.539 7.539 7.539
angles: 147.45 124.14 66.16
Sites, in units of the cell vectors:
Mg (0.000, 0.000, 0.000)
Mg (0.166, 0.666, 0.500)
Mg (0.334, 0.334, 0.000)
Mg (0.666, 0.666, 0.000)
Mg (0.834, 0.334, 0.500)
Mn (0.500, 0.000, 0.500)
Pt (0.087, 0.834, 0.253)
Pt (0.255, 0.500, 0.755)
Pt (0.419, 0.166, 0.253)
Pt (0.581, 0.834, 0.747)
Pt (0.745, 0.500, 0.245)
Pt (0.913, 0.166, 0.747)

---

Record 3
Simulated powder XRD pattern of La10Ga3Br3 for Cu Kα, 1.54184 Å, from a DFT-relaxed cell (PBE, Alexandria).

The 10 most intense peaks (10 to 90 degrees two-theta), in order of falling intensity:
d/Å, I (rel.)
2.670, 100
2.746, 62
3.027, 41
1.769, 29
1.888, 18
1.395, 13
1.707, 13
1.405, 13
1.439, 12
4.002, 11

Crystal structure
abc: 9.243 9.243 6.548
angles: 90.00 90.00 120.00
Sites, in units of the cell vectors:
La (0.000, 0.253, 0.000)
La (0.000, 0.749, 0.500)
La (0.251, 0.251, 0.500)
La (0.253, 0.000, 0.000)
La (0.333, 0.667, 0.258)
La (0.333, 0.667, 0.742)
La (0.667, 0.333, 0.258)
La (0.667, 0.333, 0.742)
La (0.747, 0.747, 0.000)
La (0.749, 0.000, 0.500)
Ga (0.000, 0.389, 0.500)
Ga (0.389, 0.000, 0.500)
Ga (0.611, 0.611, 0.500)
Br (0.000, 0.625, 0.000)
Br (0.375, 0.375, 0.000)
Br (0.625, 0.000, 0.000)

---

Record 4
Simulated powder XRD pattern of Ce8Os2Ru3 for Cu Kα, 1.54184 Å, from a DFT-relaxed cell (PBE, Alexandria).

The 10 most intense peaks (10 to 90 degrees two-theta), in order of falling intensity:
d/Å, I (rel.)
2.729, 100
2.821, 51
2.049, 35
1.884, 29
6.004, 26
3.373, 18
1.952, 17
1.909, 15
1.605, 15
3.210, 13

Crystal structure
abc: 8.211 8.211 6.475
angles: 109.22 109.22 56.78
Sites, in units of the cell vectors:
Ce (0.112, 0.112, 0.244)
Ce (0.140, 0.625, 0.239)
Ce (0.343, 0.343, 0.725)
Ce (0.375, 0.860, 0.761)
Ce (0.625, 0.140, 0.239)
Ce (0.657, 0.657, 0.275)
Ce (0.860, 0.375, 0.761)
Ce (0.888, 0.888, 0.756)
Os (0.245, 0.245, 0.048)
Os (0.755, 0.755, 0.952)
Ru (0.000, 0.000, 0.500)
Ru (0.306, 0.694, 0.000)
Ru (0.694, 0.306, 0.000)